Theoretical PXRD pattern of Ba2ZnWO6 for CuKα, from a crystal structure in the Materials Project, relaxed with GGA+U.

The 10 most intense peaks (10 to 80 degrees two-theta), in order of rising 2θ:
| 2θ (°) | d [Å] | I (rel.) |
| --- | --- | --- |
| 18.60 | 4.769 | 131 |
| 30.61 | 2.921 | 1000 |
| 36.06 | 2.491 | 63 |
| 43.84 | 2.065 | 295 |
| 48.01 | 1.895 | 25 |
| 54.41 | 1.686 | 400 |
| 58.02 | 1.590 | 27 |
| 63.73 | 1.460 | 182 |
| 67.03 | 1.396 | 26 |
| 72.35 | 1.306 | 177 |

Lattice parameters (Å, degrees): 5.8411 5.8411 5.8411 60.00 60.00 60.00
Sites, in units of the cell vectors:
Ba  0.2500  0.2500  0.2500
Ba  0.7500  0.7500  0.7500
Zn  0.0000  0.0000  0.0000
W  0.5000  0.5000  0.5000
O  0.2623  0.2623  0.7377
O  0.2623  0.7377  0.2623
O  0.2623  0.7377  0.7377
O  0.7377  0.2623  0.2623
O  0.7377  0.2623  0.7377
O  0.7377  0.7377  0.2623